(1)
Structure and simulated X-ray diffraction stick pattern of Ca2AlSbO5 (a structure optimized by DFT (PBE); Cu Kα X-rays).
Intensities are scaled so that the largest is 100.

Main lines, in order of rising 2θ (2θ from 10° to 80°):
2θ/deg, I (rel.)
11.5, 97
22.0, 34
23.2, 20
24.3, 32
25.4, 33
30.2, 46
31.2, 100
32.2, 46
33.1, 81
44.8, 53
54.3, 20
55.6, 23

Crystal structure
```
Ca2AlSbO5
1.0
7.982 -2.956 0.000
7.982 2.956 0.000
-1.529 0.000 5.357
Ca Al Sb O
4 2 2 10
Direct
0.219 0.781 0.500 Ca
0.527 0.985 0.775 Ca
0.781 0.219 0.000 Ca
0.985 0.527 0.275 Ca
0.188 0.556 0.866 Al
0.556 0.188 0.366 Al
0.372 0.901 0.140 Sb
0.901 0.372 0.640 Sb
0.071 0.826 0.820 O
0.170 0.210 0.976 O
0.210 0.170 0.476 O
0.313 0.454 0.181 O
0.454 0.313 0.681 O
0.523 0.719 0.795 O
0.603 0.936 0.248 O
0.719 0.523 0.295 O
0.826 0.071 0.320 O
0.936 0.603 0.748 O
```

***

(2)
Structure and simulated X-ray diffraction stick pattern of Sb3Se2S (a structure optimized by DFT (PBE); Cu Kα X-rays).
Intensities are scaled so that the largest is 100.

Main lines, in order of rising 2θ (2θ from 10° to 80°):
2θ/deg, I (rel.)
11.2, 32
19.3, 70
19.6, 99
25.2, 71
31.5, 70
34.0, 100
34.5, 41
37.4, 34
42.5, 23
47.1, 62
47.5, 30
55.9, 22

Crystal structure
```
Sb3Se2S
1.0
7.792 -4.589 0.000
7.792 4.589 0.000
0.000 0.000 5.672
Sb Se S
6 4 2
Direct
0.156 0.513 0.034 Sb
0.182 0.818 0.500 Sb
0.487 0.844 0.034 Sb
0.513 0.156 0.534 Sb
0.818 0.182 0.000 Sb
0.844 0.487 0.534 Sb
0.233 0.495 0.564 Se
0.495 0.233 0.064 Se
0.505 0.767 0.564 Se
0.767 0.505 0.064 Se
0.247 0.753 0.064 S
0.753 0.247 0.564 S
```

***

(3)
Structure and simulated X-ray diffraction stick pattern of Ca2AcNbO6 (a structure optimized by DFT (PBE); Cu Kα X-rays).
Intensities are scaled so that the largest is 100.

Main lines, in order of rising 2θ (2θ from 10° to 80°):
2θ/deg, I (rel.)
18.4, 24
21.0, 100
29.2, 96
30.5, 82
35.3, 21
37.3, 18
42.7, 40
47.2, 36
48.9, 20
53.4, 40
54.2, 26
63.4, 19

Crystal structure
```
Ca2AcNbO6
1.0
2.933 1.693 5.112
-2.933 1.693 5.112
0.000 -3.386 5.112
Ca Ac Nb O
2 1 1 6
Direct
0.000 0.000 0.000 Ca
0.495 0.495 0.495 Ca
0.223 0.223 0.223 Ac
0.707 0.707 0.707 Nb
0.047 0.452 0.804 O
0.341 0.876 0.625 O
0.452 0.804 0.047 O
0.625 0.341 0.876 O
0.804 0.047 0.452 O
0.876 0.625 0.341 O
```

***

(4)
Structure and simulated X-ray diffraction stick pattern of Dy3Si2Pd (a structure optimized by DFT (PBE); Cu Kα X-rays).
Intensities are scaled so that the largest is 100.

Main lines, in order of rising 2θ (2θ from 10° to 80°):
2θ/deg, I (rel.)
23.7, 28
27.3, 56
28.2, 34
30.6, 41
31.8, 100
32.3, 26
32.7, 46
35.4, 93
38.8, 31
41.6, 24
42.6, 51
62.2, 22

Crystal structure
```
Dy3Si2Pd
1.0
11.451 0.000 0.000
0.000 4.243 0.000
0.000 0.000 11.279
Dy Si Pd
12 8 4
Direct
0.054 0.250 0.125 Dy
0.122 0.750 0.562 Dy
0.212 0.250 0.807 Dy
0.288 0.750 0.307 Dy
0.378 0.250 0.062 Dy
0.446 0.750 0.625 Dy
0.554 0.250 0.375 Dy
0.622 0.750 0.938 Dy
0.712 0.250 0.693 Dy
0.788 0.750 0.193 Dy
0.878 0.250 0.438 Dy
0.946 0.750 0.875 Dy
0.016 0.750 0.312 Si
0.189 0.750 0.002 Si
0.311 0.250 0.502 Si
0.484 0.250 0.812 Si
0.516 0.750 0.188 Si
0.689 0.750 0.498 Si
0.811 0.250 0.998 Si
0.984 0.250 0.688 Si
0.129 0.250 0.370 Pd
0.371 0.750 0.870 Pd
0.629 0.250 0.130 Pd
0.871 0.750 0.630 Pd
```